MnH6S4O16: computed XRD peak list (Cu Kα X-rays), based on a structure optimized by DFT (GGA+U).
Peak positions follow from Bragg's law for the DFT cell and can differ from measured ones.

Largest 10 diffraction maxima, sorted by position, 15 to 90 degrees two-theta:
| d (Å) | 2θ/deg | Rel. int. | h k l |
| --- | --- | --- | --- |
| 4.182 | 21.2 | 57.5 | 0 0 2 |
| 4.161 | 21.4 | 100.0 | 1 2 -1 |
| 3.844 | 23.1 | 80.1 | 1 1 1 |
| 3.677 | 24.2 | 23.6 | 0 2 2 |
| 3.564 | 25.0 | 50.6 | 1 3 -1 |
| 3.529 | 25.2 | 88.9 | 1 2 1 |
| 3.504 | 25.4 | 82.4 | 0 4 1 |
| 3.345 | 26.7 | 71.3 | 1 2 -2 |
| 2.836 | 31.5 | 35.1 | 0 4 2 |
| 2.299 | 39.2 | 19.5 | 1 6 0 |

Structural model:
```
MnH6S4O16
1.0
5.291 0.000 0.000
0.000 15.439 0.000
-2.084 0.000 8.364
Mn H S O
2 12 8 32
direct
0.000 0.000 0.000 Mn
0.000 0.500 0.500 Mn
0.194 0.235 0.806 H
0.194 0.265 0.306 H
0.280 0.523 0.126 H
0.280 0.977 0.626 H
0.414 0.734 0.829 H
0.414 0.766 0.329 H
0.586 0.234 0.671 H
0.586 0.266 0.171 H
0.720 0.023 0.374 H
0.720 0.477 0.874 H
0.806 0.735 0.694 H
0.806 0.765 0.194 H
0.116 0.668 0.252 S
0.116 0.832 0.752 S
0.424 0.086 0.776 S
0.424 0.414 0.276 S
0.576 0.586 0.724 S
0.576 0.914 0.224 S
0.884 0.168 0.248 S
0.884 0.332 0.748 S
0.023 0.114 0.158 O
0.023 0.386 0.658 O
0.078 0.229 0.362 O
0.078 0.271 0.862 O
0.264 0.626 0.153 O
0.264 0.874 0.653 O
0.287 0.042 0.614 O
0.287 0.458 0.114 O
0.291 0.061 0.899 O
0.291 0.439 0.399 O
0.293 0.728 0.377 O
0.293 0.772 0.877 O
0.300 0.562 0.685 O
0.300 0.938 0.185 O
0.389 0.180 0.738 O
0.389 0.320 0.238 O
0.611 0.680 0.762 O
0.611 0.820 0.262 O
0.700 0.062 0.815 O
0.700 0.438 0.315 O
0.707 0.228 0.123 O
0.707 0.272 0.623 O
0.709 0.561 0.601 O
0.709 0.939 0.101 O
0.713 0.542 0.886 O
0.713 0.958 0.386 O
0.736 0.126 0.347 O
0.736 0.374 0.847 O
0.922 0.729 0.138 O
0.922 0.771 0.638 O
0.977 0.614 0.342 O
0.977 0.886 0.842 O
```